# 1
The following is a computed powder XRD pattern of K2RbInAu2. It was derived from a PBE-relaxed structure, using Cu Kα.

Cell and atoms:
Cell: 5.2202 9.1343 8.5557 Å, 90.00 90.00 90.00°
Space group Pmc2_1 (No. 26)
One atom of each set of equivalent atoms:
K  0.0000  0.0907  0.0000 x2
K  0.5000  0.1659  0.3341 x2
Rb  0.5000  0.4396  0.9951 x2
In  0.0000  0.3071  0.6371 x2
Au  0.0000  0.4026  0.2950 x2
Au  0.5000  0.1832  0.7059 x2

Principal peaks in the range 2θ = 10–80°, most intense first:
28.70°, I = 100, (1 1 2)
34.36°, I = 64, (2 0 0)
27.97°, I = 63, (1 2 1)
14.18°, I = 61, (0 1 1)
32.90°, I = 50, (0 1 3)
22.20°, I = 49, (1 1 1)


# 2
The following is a computed powder XRD pattern of CeThCd3. It was derived from a PBE-relaxed structure, using Cu Kα.

Cell and atoms:
Cell: 3.3388 30.6723 5.0753 Å, 90.00 90.00 90.00°
Space group Cmcm (No. 63)
One atom of each set of equivalent atoms:
Ce  0.0000  0.2180  0.2500 x4
Th  0.0000  0.0733  0.7500 x4
Cd  0.0000  0.3278  0.2500 x4
Cd  0.0000  0.3784  0.7500 x4
Cd  0.0000  0.4758  0.7500 x4

Principal peaks in the range 2θ = 10–80°, most intense first:
33.30°, I = 100, (1 3 1)
34.16°, I = 95, (0 10 1)
35.37°, I = 58, (0 0 2)
33.75°, I = 55, (1 7 0)
49.69°, I = 37, (1 7 2)
66.36°, I = 27, (2 10 1)


# 3
The following is a computed powder XRD pattern of Ho3Th2C4. It was derived from a PBE-relaxed structure, using Cu Kα.

Cell and atoms:
Cell: 12.0780 3.6183 9.0093 Å, 90.00 118.09 90.00°
Space group C2/m (No. 12)
One atom of each set of equivalent atoms:
Ho  0.0000  0.0000  0.0000 x2
Ho  0.2102  0.0000  0.8230 x4
Th  0.0996  0.5000  0.3813 x4
C  0.1000  0.5000  0.8968 x4
C  0.1984  0.0000  0.3103 x4

Principal peaks in the range 2θ = 10–80°, most intense first:
29.93°, I = 100, (4 0 -1)
35.01°, I = 53, (3 1 -2)
29.76°, I = 31, (2 0 -3)
33.90°, I = 28, (2 0 2)
59.74°, I = 20, (4 2 -1)
49.65°, I = 20, (5 1 0)


# 4
The following is a computed powder XRD pattern of Sr2Hg4Bi2Pd. It was derived from a PBE-relaxed structure, using Cu Kα.

Cell and atoms:
Cell: 7.0364 7.0364 10.3550 Å, 90.00 90.00 90.00°
Space group I4/mmm (No. 139)
One atom of each set of equivalent atoms:
Sr  0.0000  0.5000  0.2500 x4
Hg  0.2275  0.2275  0.0000 x8
Bi  0.0000  0.0000  0.2250 x4
Pd  0.0000  0.0000  0.5000 x2

Principal peaks in the range 2θ = 10–80°, most intense first:
30.73°, I = 100, (2 0 2)
36.10°, I = 45, (2 2 0)
50.91°, I = 30, (2 2 4)
34.65°, I = 24, (0 0 4)
61.61°, I = 23, (4 2 2)
17.83°, I = 16, (1 1 0)


# 5
The following is a computed powder XRD pattern of Cu4Bi2Se5. It was derived from a PBE-relaxed structure, using Cu Kα.

Cell and atoms:
Cell: 3.9502 3.9502 54.8364 Å, 90.00 90.00 120.00°
Space group R-3m (No. 166, hexagonal axes)
One atom of each set of equivalent atoms:
Cu  0.0000  0.0000  0.0932 x6
Cu  0.0000  0.0000  0.1830 x6
Bi  0.0000  0.0000  0.3708 x6
Se  0.0000  0.0000  0.0000 x3
Se  0.0000  0.0000  0.1363 x6
Se  0.0000  0.0000  0.2580 x6

Principal peaks in the range 2θ = 10–80°, most intense first:
29.17°, I = 100, (0 1 8)
45.95°, I = 87, (1 1 0)
31.72°, I = 86, (0 1 11)
26.86°, I = 61, (1 0 4)
37.13°, I = 52, (1 0 16)
45.00°, I = 34, (1 0 22)


# 6
The following is a computed powder XRD pattern of In2Au3. It was derived from a PBE-relaxed structure, using Cu Kα.

Cell and atoms:
Cell: 9.6972 9.6972 9.6972 Å, 90.00 90.00 90.00°
Space group I-43d (No. 220)
One atom of each set of equivalent atoms:
In  0.0360  0.0360  0.0360 x16
Au  0.0000  0.2500  0.2323 x24

Principal peaks in the range 2θ = 10–80°, most intense first:
34.61°, I = 100, (3 2 1)
37.08°, I = 79, (4 0 0)
43.79°, I = 48, (3 3 2)
53.45°, I = 45, (4 4 0)
22.46°, I = 45, (2 1 1)
71.49°, I = 27, (7 2 1)


# 7
The following is a computed powder XRD pattern of Sm3Si2. It was derived from a PBE-relaxed structure, using Cu Kα.

Cell and atoms:
Cell: 4.4028 6.4118 8.9656 Å, 90.00 90.00 90.00°
Space group Immm (No. 71)
One atom of each set of equivalent atoms:
Sm  0.0000  0.0000  0.0000 x2
Sm  0.0000  0.5000  0.2021 x4
Si  0.0000  0.1919  0.5000 x4

Principal peaks in the range 2θ = 10–80°, most intense first:
31.72°, I = 100, (1 1 2)
33.07°, I = 34, (0 1 3)
27.83°, I = 33, (0 2 0)
36.08°, I = 32, (1 2 1)
68.85°, I = 22, (2 3 3)
22.50°, I = 22, (1 0 1)


# 8
The following is a computed powder XRD pattern of CdSbCl2. It was derived from a PBE-relaxed structure, using Cu Kα.

Cell and atoms:
Cell: 3.4731 3.7918 8.9001 Å, 90.00 90.00 90.00°
Space group Pm (No. 6)
One atom of each set of equivalent atoms:
Cd  0.0000  0.0000  0.0000 x1
Sb  0.1899  0.5000  0.7440 x1
Cl  0.1846  0.0000  0.5313 x1
Cl  0.6598  0.5000  0.1552 x1

Principal peaks in the range 2θ = 10–80°, most intense first:
30.98°, I = 100, (0 1 2)
27.57°, I = 60, (1 0 1)
36.51°, I = 53, (1 1 -1)
40.61°, I = 46, (0 0 4)
25.65°, I = 37, (1 0 0)
40.65°, I = 24, (1 1 2)


# 9
The following is a computed powder XRD pattern of Sc4Pd2Au. It was derived from a PBE-relaxed structure, using Cu Kα.

Cell and atoms:
Cell: 4.6777 4.6777 22.6378 Å, 90.00 90.00 120.00°
Space group R-3m (No. 166, hexagonal axes)
One atom of each set of equivalent atoms:
Sc  0.0000  0.0000  0.1196 x6
Sc  0.0000  0.0000  0.3710 x6
Pd  0.0000  0.0000  0.2488 x6
Au  0.0000  0.0000  0.5000 x3

Principal peaks in the range 2θ = 10–80°, most intense first:
38.49°, I = 100, (1 1 0)
38.82°, I = 96, (0 1 8)
11.73°, I = 57, (0 0 3)
22.29°, I = 42, (1 0 1)
27.07°, I = 39, (1 0 4)
69.85°, I = 32, (1 2 8)


# 10
The following is a computed powder XRD pattern of Ac2Tb5Dy5. It was derived from a PBE-relaxed structure, using Cu Kα.

Cell and atoms:
Cell: 18.7576 3.6416 14.4734 Å, 90.00 125.36 90.00°
Space group C2/m (No. 12)
One atom of each set of equivalent atoms:
Ac  0.1671  0.0000  0.2495 x4
Tb  0.0000  0.5000  0.0000 x2
Tb  0.1624  0.0000  0.4970 x4
Tb  0.1635  0.0000  0.7507 x4
Dy  0.0000  0.5000  0.5000 x2
Dy  0.0037  0.5000  0.7500 x4
Dy  0.1674  0.0000  0.9981 x4

Principal peaks in the range 2θ = 10–80°, most intense first:
30.16°, I = 100, (3 1 0)
30.29°, I = 99, (0 0 4)
34.96°, I = 68, (3 1 -4)
50.45°, I = 60, (3 1 4)
35.20°, I = 33, (6 0 0)
59.67°, I = 29, (0 2 4)


# 11
The following is a computed powder XRD pattern of SeN2Cl5. It was derived from a PBE-relaxed structure, using Cu Kα.

Cell and atoms:
Cell: 7.9223 9.7493 7.8439 Å, 90.00 120.19 90.00°
Space group Cm (No. 8)
One atom of each set of equivalent atoms:
Se  0.0000  0.0000  0.0000 x2
N  0.3771  0.2493  0.4997 x4
Cl  0.0064  0.2515  0.0000 x4
Cl  0.2095  0.5000  0.7437 x2
Cl  0.4283  0.0000  0.0000 x2
Cl  0.4645  0.5000  0.2562 x2

Principal peaks in the range 2θ = 10–80°, most intense first:
13.06°, I = 100, (0 0 1)
15.83°, I = 60, (1 1 0)
26.05°, I = 52, (2 0 -2)
22.45°, I = 37, (2 0 -1)
34.83°, I = 32, (2 0 1)
36.88°, I = 23, (0 4 0)


# 12
The following is a computed powder XRD pattern of Na8Hg2As. It was derived from a PBE-relaxed structure, using Cu Kα.

Cell and atoms:
Cell: 18.4689 5.1633 7.1163 Å, 90.00 109.25 90.00°
Space group C2/m (No. 12)
One atom of each set of equivalent atoms:
Na  0.0181  0.0000  0.2959 x4
Na  0.0973  0.5000  0.9205 x4
Na  0.1528  0.5000  0.4527 x4
Na  0.2076  0.0000  0.7844 x4
Hg  0.1758  0.0000  0.2002 x4
As  0.0000  0.5000  0.5000 x2

Principal peaks in the range 2θ = 10–80°, most intense first:
21.27°, I = 100, (1 1 -1)
23.04°, I = 77, (3 1 0)
19.15°, I = 68, (2 0 1)
20.30°, I = 65, (4 0 -1)
33.61°, I = 58, (1 1 2)
34.99°, I = 56, (5 1 -2)